Entry 1:
The following is a theoretical X-ray diffraction stick pattern of Li5Fe2P2C2O14. It was derived from a cell relaxed with GGA+U, using Cu Kα, 1.54184 Å.
Lines closer than 0.1° are merged.

Atomic structure:
Lattice parameters (Å, degrees): 9.416 6.500 10.117 90.00 116.97 90.00
Space group P2_1 (No. 4)
Inequivalent atoms, fractional coordinates:
Li (0.088, 0.000, 0.425)
Li (0.106, 0.998, 0.941)
Li (0.270, 0.239, 0.260)
Li (0.270, 0.765, 0.257)
Li (0.280, 0.212, 0.773)
Fe (0.331, 0.509, 0.570)
Fe (0.332, 0.505, 0.054)
P (0.415, 0.005, 0.075)
P (0.416, 0.006, 0.564)
C (0.030, 0.491, 0.866)
C (0.046, 0.510, 0.367)
O (0.067, 0.506, 0.007)
O (0.080, 0.507, 0.508)
O (0.093, 0.030, 0.738)
O (0.117, 0.999, 0.236)
O (0.144, 0.471, 0.829)
O (0.171, 0.495, 0.341)
O (0.304, 0.820, 0.062)
O (0.306, 0.189, 0.558)
O (0.310, 0.815, 0.546)
O (0.319, 0.192, 0.088)
O (0.421, 0.477, 0.786)
O (0.424, 0.508, 0.296)
O (0.442, 0.031, 0.937)
O (0.451, 0.015, 0.425)

Principal peaks in the range 2θ from 5° to 70°, most intense first:
(hkl), 2theta, d (Å), I (rel.)
0 2 0, 27.44, 3.250, 1000
1 0 0, 10.54, 8.392, 826
2 0 -2, 21.41, 4.151, 590
0 0 2, 19.69, 4.508, 429
1 0 2, 26.35, 3.383, 350
1 1 0, 17.26, 5.138, 311
2 1 -2, 25.46, 3.498, 242
1 0 -4, 36.28, 2.476, 240
4 1 -2, 40.77, 2.213, 223
0 4 0, 56.65, 1.625, 214

Entry 2:
The following is a theoretical X-ray diffraction stick pattern of NaFeSe2O6. It was derived from a cell relaxed with GGA+U, using Cu Kα, 1.54184 Å.
Lines closer than 0.1° are merged.

Atomic structure:
Lattice parameters (Å, degrees): 12.762 5.459 8.053 90.00 90.00 90.00
Space group Pnma (No. 62)
Inequivalent atoms, fractional coordinates:
Na (0.114, 0.250, 0.010)
Fe (0.101, 0.750, 0.702)
Se (0.068, 0.750, 0.287)
Se (0.206, 0.250, 0.495)
O (0.000, 0.007, 0.800)
O (0.023, 0.750, 0.488)
O (0.163, 0.750, 0.938)
O (0.211, 0.002, 0.629)

Principal peaks in the range 2θ from 5° to 70°, most intense first:
(hkl), 2theta, d (Å), I (rel.)
2 1 2, 30.95, 2.889, 1000
3 1 1, 28.82, 3.097, 715
2 0 2, 26.17, 3.405, 694
4 1 0, 32.51, 2.754, 575
0 2 0, 32.81, 2.729, 415
1 1 1, 20.86, 4.259, 358
1 1 3, 38.01, 2.367, 317
2 1 0, 21.42, 4.148, 296
1 0 1, 13.00, 6.811, 259
3 1 5, 64.13, 1.452, 212

Entry 3:
The following is a theoretical X-ray diffraction stick pattern of FeOF. It was derived from a cell relaxed with GGA+U, using Cu Kα, 1.54184 Å.
Lines closer than 0.1° are merged.

Atomic structure:
Lattice parameters (Å, degrees): 14.216 3.091 14.260 90.00 90.14 90.00
Space group Pm (No. 6)
Inequivalent atoms, fractional coordinates:
Fe (0.000, 0.000, 0.000)
Fe (0.002, 0.000, 0.329)
Fe (0.005, 0.000, 0.674)
Fe (0.142, 0.500, 0.504)
Fe (0.148, 0.500, 0.839)
Fe (0.162, 0.500, 0.179)
Fe (0.320, 0.000, 0.024)
Fe (0.338, 0.000, 0.674)
Fe (0.344, 0.000, 0.347)
Fe (0.478, 0.500, 0.173)
Fe (0.488, 0.500, 0.515)
Fe (0.489, 0.500, 0.833)
Fe (0.640, 0.000, 0.677)
Fe (0.669, 0.000, 0.340)
Fe (0.675, 0.000, 0.013)
Fe (0.815, 0.500, 0.844)
Fe (0.818, 0.500, 0.502)
Fe (0.822, 0.500, 0.185)
O (0.055, 0.500, 0.612)
O (0.061, 0.500, 0.947)
O (0.064, 0.500, 0.270)
O (0.090, 0.000, 0.440)
O (0.092, 0.000, 0.780)
O (0.254, 0.500, 0.079)
O (0.387, 0.500, 0.613)
O (0.389, 0.500, 0.277)
O (0.423, 0.000, 0.784)
O (0.427, 0.000, 0.108)
O (0.430, 0.000, 0.448)
O (0.559, 0.000, 0.571)
O (0.596, 0.500, 0.747)
O (0.721, 0.500, 0.279)
O (0.722, 0.500, 0.944)
O (0.759, 0.000, 0.449)
O (0.766, 0.000, 0.113)
O (0.893, 0.000, 0.242)
F (0.093, 0.000, 0.111)
F (0.220, 0.000, 0.575)
F (0.226, 0.000, 0.244)
F (0.226, 0.000, 0.907)
F (0.257, 0.500, 0.744)
F (0.259, 0.500, 0.408)
F (0.387, 0.500, 0.947)
F (0.552, 0.000, 0.915)
F (0.555, 0.000, 0.239)
F (0.592, 0.500, 0.404)
F (0.594, 0.500, 0.077)
F (0.729, 0.500, 0.615)
F (0.762, 0.000, 0.765)
F (0.889, 0.000, 0.577)
F (0.894, 0.000, 0.907)
F (0.924, 0.500, 0.743)
F (0.928, 0.500, 0.410)
F (0.932, 0.500, 0.069)

Principal peaks in the range 2θ from 5° to 70°, most intense first:
(hkl), 2theta, d (Å), I (rel.)
3 0 3, 26.56, 3.356, 1000
0 1 3, 34.63, 2.590, 549
3 1 -6, 52.26, 1.751, 441
3 1 3, 39.64, 2.274, 179
6 1 3, 52.36, 1.747, 140
3 2 3, 66.61, 1.404, 122
0 1 9, 66.29, 1.410, 107
0 2 0, 59.83, 1.546, 97
9 1 0, 66.47, 1.407, 87
6 0 6, 54.77, 1.676, 80